Diffraction record for Li2VP3O10. The X-ray powder pattern is theoretical, not measured: it uses the GGA+U geometry in the Materials Project and Cu Kα.
Lines closer than 0.1° are merged.

Cell and atoms:
```
data_Li2VP3O10
_symmetry_space_group_name_H-M 'C 1 2/c 1'
_symmetry_Int_Tables_number 15
_symmetry_space_group_name_Hall '-C 2yc'
_cell_length_a 14.3388
_cell_length_b 7.1799
_cell_length_c 9.7150
_cell_angle_alpha 90.00
_cell_angle_beta 126.97
_cell_angle_gamma 90.00
loop_
_atom_site_label
_atom_site_type_symbol
_atom_site_fract_x
_atom_site_fract_y
_atom_site_fract_z
Li1 Li 0.2298 0.0144 0.0373
V1 V 0.0000 0.1659 0.2500
P1 P 0.0000 0.4509 0.7500
P2 P 0.1216 0.1811 0.6860
O1 O 0.0066 0.3147 0.6264
O2 O 0.0965 0.1266 0.5152
O3 O 0.1060 0.4207 0.3467
O4 O 0.1155 0.0096 0.7791
O5 O 0.2322 0.2843 0.8110
```

Principal peaks in the range 2θ = 10–80°, low angle first:
2θ/deg	intensity	h k l
15.47	91	2 0 0
22.49	100	3 1 -1
22.91	88	0 0 2
27.88	33	2 2 -1
30.39	60	3 1 -3
31.03	28	2 2 -2
36.15	58	4 2 -1
47.25	27	4 2 1